This entry pairs a crystal structure of NaAg2IrBr8 with its calculated powder diffraction line list. Radiation: Cu Kα X-rays. Structure: a DFT-relaxed cell (PBE, Alexandria).
Peak positions follow from Bragg's law for the DFT cell and can differ from measured ones.

Peak list (10 most intense, 2θ from 10° to 90°, in order of rising 2θ)
2theta	I_rel
10.71	39
14.15	100
16.51	36
26.74	26
28.82	73
33.28	57
33.44	64
44.53	35
44.67	27
45.57	22

Crystal structure
abc: 6.5985 6.8668 8.3548
angles: 92.61 97.22 106.57
Space group P-1 (No. 2)
Unique sites:
Na1 0.0000 0.0000 0.0000
Ag1 0.0025 0.5155 0.2409
Ir1 0.0000 0.0000 0.5000
Br1 0.2155 0.2279 0.3198
Br2 0.2308 0.7697 0.4921
Br3 0.2411 0.2152 0.7411
Br4 0.2604 0.7146 0.9975